Computed X-ray diffraction stick pattern of Cr3Te5 for CuKα, from a structure optimized by DFT (GGA-PBE).
Lines closer than 0.1° are merged.

Principal peaks in the range 15° ≤ 2θ ≤ 90°, by intensity:
| (hkl) | two_theta | intensity |
| --- | --- | --- |
| 1 0 2 | 28.5 | 100 |
| 0 1 4 | 35.5 | 56 |
| 1 1 0 | 45.5 | 54 |
| 0 1 3 | 31.6 | 53 |
| 1 0 7 | 50.5 | 29 |
| 1 1 5 | 55.5 | 20 |
| 0 0 5 | 30.1 | 18 |
| 1 0 5 | 40.1 | 17 |
| 0 2 2 | 54.6 | 16 |
| 2 0 3 | 56.4 | 16 |

Atomic structure:
a = 3.9891 Å, b = 3.9891 Å, c = 14.8258 Å
α = 90.00°, β = 90.00°, γ = 120.00°
Positions (direct):
Cr (0.0000, 0.0000, 0.0000)
Cr (0.0000, 0.0000, 0.2178)
Cr (0.0000, 0.0000, 0.7822)
Te (0.0000, 0.0000, 0.5000)
Te (0.3333, 0.6667, 0.3159)
Te (0.3333, 0.6667, 0.8925)
Te (0.6667, 0.3333, 0.1075)
Te (0.6667, 0.3333, 0.6841)